Record 1
Structure and calculated XRD peak list of Dy4GeAs3 (a structure optimized by DFT (GGA-PBE); CuKα).

Top 8 peaks for 15° ≤ 2θ ≤ 90°, by angle:
d_spacing	I (rel.)	h k l
3.368	23	1 1 1
2.917	100	2 0 0
2.063	75	2 2 0
1.759	12	3 1 1
1.684	26	2 2 2
1.458	12	4 0 0
1.305	34	4 2 0
1.191	25	4 2 2

Cell and atoms:
```
data_Dy4GeAs3
_cell_length_a 5.8339
_cell_length_b 5.8339
_cell_length_c 5.8339
_cell_angle_alpha 90.00
_cell_angle_beta 90.00
_cell_angle_gamma 90.00
_space_group_name_H-M_alt 'P m -3 m'
_space_group_IT_number 221
_space_group_name_Hall '-P 4 2 3'
loop_
_atom_site_label
_atom_site_fract_x
_atom_site_fract_y
_atom_site_fract_z
Dy1 0.0000 0.0000 0.0000
Dy2 0.0000 0.5000 0.5000
Ge1 0.5000 0.5000 0.5000
As1 0.0000 0.0000 0.5000
```



Record 2
Structure and calculated XRD peak list of Dy3As2H (a structure optimized by DFT (GGA-PBE); CuKα).

Top 8 peaks for 15° ≤ 2θ ≤ 90°, by angle:
d_spacing	I (rel.)	h k l
3.303	38	1 1 -2
3.226	36	3 1 0
2.842	49	0 2 0
2.819	100	2 0 2
2.029	19	2 0 -4
2.001	71	2 2 2
1.651	19	2 2 -4
1.613	18	6 2 0

Cell and atoms:
```
data_Dy3As2H
_cell_length_a 12.4366
_cell_length_b 5.6830
_cell_length_c 8.1177
_cell_angle_alpha 90.00
_cell_angle_beta 109.03
_cell_angle_gamma 90.00
_space_group_name_H-M_alt 'C 1 2/c 1'
_space_group_IT_number 15
loop_
_space_group_symop_operation_xyz
'x,y,z'
'-x,-y,-z'
'-x,y,-z+1/2'
'x,-y,z+1/2'
'x+1/2,y+1/2,z'
'-x+1/2,-y+1/2,-z'
'-x+1/2,y+1/2,-z+1/2'
'x+1/2,-y+1/2,z+1/2'
loop_
_atom_site_label
_atom_site_fract_x
_atom_site_fract_y
_atom_site_fract_z
Dy1 0.0000 0.0345 0.2500
Dy2 0.1662 0.4990 0.5832
As1 0.1688 0.0010 0.0845
H1 0.0000 0.4537 0.2500
```



Record 3
Structure and calculated XRD peak list of Nd2DyHoAs4 (a structure optimized by DFT (GGA-PBE); CuKα).

Top 8 peaks for 15° ≤ 2θ ≤ 90°, by angle:
d_spacing	I (rel.)	h k l
3.423	21	2 0 0
2.964	100	1 1 1
2.096	75	0 2 0
1.787	10	3 1 1
1.711	26	0 0 4
1.482	12	2 2 2
1.326	33	1 3 1
1.210	23	2 0 -6

Cell and atoms:
```
data_Nd2DyHoAs4
_cell_length_a 7.2560
_cell_length_b 4.1946
_cell_length_c 7.2610
_cell_angle_alpha 90.00
_cell_angle_beta 109.48
_cell_angle_gamma 90.00
_space_group_name_H-M_alt 'P 1 2/m 1'
_space_group_IT_number 10
loop_
_space_group_symop_operation_xyz
'x,y,z'
'-x,-y,-z'
'-x,y,-z'
'x,-y,z'
loop_
_atom_site_label
_atom_site_fract_x
_atom_site_fract_y
_atom_site_fract_z
Nd1 0.0000 0.0000 0.0000
Nd2 0.0000 0.5000 0.5000
Dy1 0.5000 0.0000 0.5000
Ho1 0.5000 0.5000 0.0000
As1 0.2602 0.0000 0.7539
As2 0.2597 0.5000 0.2527
```



Record 4
Structure and calculated XRD peak list of Pr2DyHo3As6 (a structure optimized by DFT (GGA-PBE); CuKα).

Top 8 peaks for 15° ≤ 2θ ≤ 90°, by angle:
d_spacing	I (rel.)	h k l
3.408	21	4 0 -2
2.952	100	6 0 0
2.087	75	0 2 0
1.780	11	5 1 -4
1.704	26	6 2 0
1.476	12	2 2 -4
1.320	33	1 3 -2
1.205	25	5 3 2

Cell and atoms:
```
data_Pr2DyHo3As6
_cell_length_a 18.1884
_cell_length_b 4.1768
_cell_length_c 8.3458
_cell_angle_alpha 90.00
_cell_angle_beta 103.23
_cell_angle_gamma 90.00
_space_group_name_H-M_alt 'C 1 2/m 1'
_space_group_IT_number 12
loop_
_space_group_symop_operation_xyz
'x,y,z'
'-x,-y,-z'
'-x,y,-z'
'x,-y,z'
'x+1/2,y+1/2,z'
'-x+1/2,-y+1/2,-z'
'-x+1/2,y+1/2,-z'
'x+1/2,-y+1/2,z'
loop_
_atom_site_label
_atom_site_fract_x
_atom_site_fract_y
_atom_site_fract_z
Pr1 0.1657 0.0000 0.3318
Dy1 0.0000 0.5000 0.0000
Ho1 0.0000 0.5000 0.5000
Ho2 0.1671 0.0000 0.8340
As1 0.0033 0.0000 0.7513
As2 0.1639 0.5000 0.5904
As3 0.1665 0.5000 0.0743
```



Record 5
Structure and calculated XRD peak list of DyHo2PuAs4 (a structure optimized by DFT (GGA-PBE); CuKα).

Top 8 peaks for 15° ≤ 2θ ≤ 90°, by angle:
d_spacing	I (rel.)	h k l
3.358	30	2 0 0
2.908	100	1 1 1
2.057	38	0 2 0
2.055	37	2 0 2
1.680	13	2 2 -2
1.677	13	4 0 0
1.300	28	4 2 0
1.187	15	5 1 1

Cell and atoms:
```
data_DyHo2PuAs4
_cell_length_a 7.1150
_cell_length_b 4.1200
_cell_length_c 7.1167
_cell_angle_alpha 90.00
_cell_angle_beta 109.46
_cell_angle_gamma 90.00
_space_group_name_H-M_alt 'P 1 2/m 1'
_space_group_IT_number 10
loop_
_space_group_symop_operation_xyz
'x,y,z'
'-x,-y,-z'
'-x,y,-z'
'x,-y,z'
loop_
_atom_site_label
_atom_site_fract_x
_atom_site_fract_y
_atom_site_fract_z
Dy1 0.0000 0.0000 0.0000
Ho1 0.5000 0.0000 0.5000
Ho2 0.5000 0.5000 0.0000
Pu1 0.0000 0.5000 0.5000
As1 0.2501 0.0000 0.7493
As2 0.2507 0.5000 0.2509
```



Record 6
Structure and calculated XRD peak list of DyHoAs2Rh5 (a structure optimized by DFT (GGA-PBE); CuKα).

Top 8 peaks for 15° ≤ 2θ ≤ 90°, by angle:
d_spacing	I (rel.)	h k l
3.044	18	1 0 2
2.470	100	1 1 2
2.113	50	2 0 0
2.091	14	1 1 3
1.522	16	2 0 4
1.494	16	2 2 0
1.314	16	1 1 6
1.279	24	3 1 2

Cell and atoms:
```
data_DyHoAs2Rh5
_cell_length_a 4.2270
_cell_length_b 4.2270
_cell_length_c 8.7755
_cell_angle_alpha 90.00
_cell_angle_beta 90.00
_cell_angle_gamma 90.00
_space_group_name_H-M_alt 'P 4/m m m'
_space_group_IT_number 123
_space_group_name_Hall '-P 4 2'
loop_
_atom_site_label
_atom_site_fract_x
_atom_site_fract_y
_atom_site_fract_z
Dy1 0.0000 0.0000 0.0000
Ho1 0.0000 0.0000 0.5000
As1 0.5000 0.5000 0.3545
Rh1 0.0000 0.5000 0.2321
Rh2 0.5000 0.5000 0.0000
```